(1)
For Cs2TbAs2, a structure optimized by DFT (PBE) gives the computed X-ray powder pattern in this record (Cu Kα X-rays).
Intensities are scaled so that the largest is 100.

Main lines, sorted by position (10° ≤ 2θ ≤ 90°):
(1 1 0), 2θ 12.6, d 7.041, I 47.1; (1 3 0), 2θ 21.2, d 4.192, I 97.5; (2 1 1), 2θ 25.9, d 3.443, I 100.0; (1 1 2), 2θ 26.7, d 3.336, I 49.2; (1 4 1), 2θ 29.1, d 3.065, I 53.8; (0 4 2), 2θ 33.9, d 2.643, I 71.9

Atomic structure:
Cell: 8.0112 14.7583 7.5761 Å, 90.00 90.00 90.00°
Space group Ibam (No. 72)
One atom of each set of equivalent atoms:
Cs 0.1441 0.1556 0.0000 x8
Tb 0.0000 0.5000 0.2500 x4
As 0.1886 0.4020 0.0000 x8



(2)
For Pr2HoMg4In2, a structure optimized by DFT (PBE) gives the computed X-ray powder pattern in this record (Cu Kα X-rays).
Intensities are scaled so that the largest is 100.

Main lines, sorted by position (10° ≤ 2θ ≤ 90°):
(0 1 1), 2θ 13.2, d 6.694, I 61.3; (1 0 2), 2θ 29.7, d 3.013, I 42.7; (1 3 1), 2θ 29.9, d 2.985, I 100.0; (1 2 2), 2θ 32.7, d 2.740, I 89.0; (1 4 0), 2θ 33.0, d 2.712, I 48.1; (2 0 0), 2θ 37.7, d 2.386, I 36.9

Atomic structure:
Cell: 4.7719 13.1860 7.7700 Å, 90.00 90.00 90.00°
Space group Amm2 (No. 38)
One atom of each set of equivalent atoms:
Pr 0.0000 0.2143 0.0000 x4
Ho 0.0000 0.0000 0.3499 x2
Mg 0.0000 0.0000 0.7727 x2
Mg 0.5000 0.0000 0.0232 x2
Mg 0.5000 0.1220 0.6600 x4
In 0.5000 0.1627 0.2861 x4



(3)
For Tb2YSn3Pb4, a structure optimized by DFT (PBE) gives the computed X-ray powder pattern in this record (Cu Kα X-rays).
Intensities are scaled so that the largest is 100.

Main lines, sorted by position (10° ≤ 2θ ≤ 90°):
(1 5 1), 2θ 32.6, d 2.746, I 100.0; (0 10 0), 2θ 33.5, d 2.679, I 20.1; (0 0 2), 2θ 39.4, d 2.287, I 15.8; (2 0 0), 2θ 40.3, d 2.236, I 15.0; (1 15 1), 2θ 59.3, d 1.559, I 12.3; (1 5 3), 2θ 67.2, d 1.394, I 12.9

Atomic structure:
Cell: 4.4726 26.7856 4.5743 Å, 90.00 90.00 90.00°
Space group Cmmm (No. 65)
One atom of each set of equivalent atoms:
Tb 0.0000 0.1891 0.0000 x4
Y 0.0000 0.5000 0.5000 x2
Sn 0.0000 0.0000 0.0000 x2
Sn 0.0000 0.4046 0.0000 x4
Pb 0.0000 0.0966 0.5000 x4
Pb 0.0000 0.2912 0.5000 x4



(4)
For Er4Pd3Pt, a structure optimized by DFT (PBE) gives the computed X-ray powder pattern in this record (Cu Kα X-rays).
Intensities are scaled so that the largest is 100.

Main lines, sorted by position (10° ≤ 2θ ≤ 90°):
(1 1 -1), 2θ 28.5, d 3.131, I 34.0; (0 1 2), 2θ 32.6, d 2.746, I 76.7; (2 0 1), 2θ 35.0, d 2.561, I 55.6; (1 1 2), 2θ 36.6, d 2.458, I 100.0; (0 2 0), 2θ 39.5, d 2.280, I 54.2; (2 1 -1), 2θ 40.4, d 2.233, I 77.1

Atomic structure:
Cell: 5.5185 4.5593 6.8796 Å, 90.00 90.13 90.00°
Space group Pm (No. 6)
One atom of each set of equivalent atoms:
Er 0.0000 0.0000 0.0000 x1
Er 0.2053 0.0000 0.5071 x1
Er 0.4943 0.5000 0.1379 x1
Er 0.7080 0.5000 0.6390 x1
Pd 0.0051 0.5000 0.2777 x1
Pd 0.5127 0.0000 0.8654 x1
Pd 0.6964 0.0000 0.3607 x1
Pt 0.1963 0.5000 0.7779 x1



(5)
For ThMg, a structure optimized by DFT (PBE) gives the computed X-ray powder pattern in this record (Cu Kα X-rays).
Intensities are scaled so that the largest is 100.

Main lines, sorted by position (10° ≤ 2θ ≤ 90°):
(1 0 0), 2θ 12.7, d 6.945, I 100.0; (1 1 1), 2θ 25.4, d 3.505, I 61.2; (2 1 0), 2θ 29.8, d 2.999, I 31.3; (0 0 2), 2θ 32.2, d 2.777, I 38.9; (2 1 1), 2θ 34.0, d 2.639, I 90.9; (0 2 1), 2θ 34.2, d 2.621, I 58.8

Atomic structure:
Cell: 6.9454 5.9461 5.5548 Å, 90.00 90.00 90.00°
Space group Pbcm (No. 57)
One atom of each set of equivalent atoms:
Th 0.1267 0.0972 0.2500 x4
Mg 0.3811 0.5980 0.2500 x4



(6)
For Tm10Al3Co, a structure optimized by DFT (PBE) gives the computed X-ray powder pattern in this record (Cu Kα X-rays).
Intensities are scaled so that the largest is 100.

Main lines, sorted by position (10° ≤ 2θ ≤ 90°):
(2 1 0), 2θ 29.2, d 3.054, I 44.0; (1 0 3), 2θ 30.5, d 2.934, I 40.7; (3 0 1), 2θ 34.6, d 2.590, I 55.1; (2 1 2), 2θ 35.0, d 2.564, I 100.0; (2 0 3), 2θ 36.2, d 2.484, I 32.6; (3 2 3), 2θ 57.7, d 1.597, I 37.1

Atomic structure:
Cell: 9.3291 9.3291 9.4467 Å, 90.00 90.00 120.00°
Space group P6_3/mmc (No. 194)
One atom of each set of equivalent atoms:
Tm 0.0000 0.0000 0.0000 x2
Tm 0.0839 0.5420 0.2500 x6
Tm 0.2092 0.4184 0.5623 x12
Al 0.1113 0.2225 0.2500 x6
Co 0.3333 0.6667 0.7500 x2



(7)
For NdGd2Mg3Pt3, a structure optimized by DFT (PBE) gives the computed X-ray powder pattern in this record (Cu Kα X-rays).
Intensities are scaled so that the largest is 100.

Main lines, sorted by position (10° ≤ 2θ ≤ 90°):
(0 3 1), 2θ 23.9, d 3.725, I 54.0; (1 2 0), 2θ 25.7, d 3.460, I 29.3; (1 0 2), 2θ 32.5, d 2.757, I 65.5; (1 2 2), 2θ 35.4, d 2.535, I 100.0; (0 6 0), 2θ 42.0, d 2.151, I 39.5; (1 5 1), 2θ 43.2, d 2.096, I 38.1

Atomic structure:
Cell: 4.0994 12.9122 7.4471 Å, 90.00 90.00 90.00°
Space group Amm2 (No. 38)
One atom of each set of equivalent atoms:
Nd 0.0000 0.0000 0.0000 x2
Gd 0.0000 0.2048 0.6179 x4
Mg 0.5000 0.0000 0.6547 x2
Mg 0.5000 0.1224 0.2924 x4
Pt 0.0000 0.0000 0.4171 x2
Pt 0.5000 0.1697 0.9113 x4



Copy entry 5 word for word.
For ThMg, a structure optimized by DFT (PBE) gives the computed X-ray powder pattern in this record (Cu Kα X-rays).
Intensities are scaled so that the largest is 100.

Main lines, sorted by position (10° ≤ 2θ ≤ 90°):
(1 0 0), 2θ 12.7, d 6.945, I 100.0; (1 1 1), 2θ 25.4, d 3.505, I 61.2; (2 1 0), 2θ 29.8, d 2.999, I 31.3; (0 0 2), 2θ 32.2, d 2.777, I 38.9; (2 1 1), 2θ 34.0, d 2.639, I 90.9; (0 2 1), 2θ 34.2, d 2.621, I 58.8

Atomic structure:
Cell: 6.9454 5.9461 5.5548 Å, 90.00 90.00 90.00°
Space group Pbcm (No. 57)
One atom of each set of equivalent atoms:
Th 0.1267 0.0972 0.2500 x4
Mg 0.3811 0.5980 0.2500 x4



What did the second record say?
For Pr2HoMg4In2, a structure optimized by DFT (PBE) gives the computed X-ray powder pattern in this record (Cu Kα X-rays).
Intensities are scaled so that the largest is 100.

Main lines, sorted by position (10° ≤ 2θ ≤ 90°):
(0 1 1), 2θ 13.2, d 6.694, I 61.3; (1 0 2), 2θ 29.7, d 3.013, I 42.7; (1 3 1), 2θ 29.9, d 2.985, I 100.0; (1 2 2), 2θ 32.7, d 2.740, I 89.0; (1 4 0), 2θ 33.0, d 2.712, I 48.1; (2 0 0), 2θ 37.7, d 2.386, I 36.9

Atomic structure:
Cell: 4.7719 13.1860 7.7700 Å, 90.00 90.00 90.00°
Space group Amm2 (No. 38)
One atom of each set of equivalent atoms:
Pr 0.0000 0.2143 0.0000 x4
Ho 0.0000 0.0000 0.3499 x2
Mg 0.0000 0.0000 0.7727 x2
Mg 0.5000 0.0000 0.0232 x2
Mg 0.5000 0.1220 0.6600 x4
In 0.5000 0.1627 0.2861 x4



Question: Number 4 is which compound?
Answer: Er4Pd3Pt